The following is a computed PXRD pattern of NaNd3Ti2Sb2O14. It was derived from a structure optimized by DFT (PBE), using CuKα.
Neutral-atom scattering factors, no anomalous dispersion.

Peak list (10 most intense, 2θ from 10° to 90°, sorted by position)
(hkl)  Position (°2θ)  Rel. int.
1 1 0  18.9  23.9
2 0 0  29.4  34.7
0 2 2  29.6  100.0
0 0 4  34.2  40.0
4 0 -4  49.1  31.6
2 2 -6  49.3  30.8
4 2 -2  58.2  14.3
0 2 6  58.5  27.6
2 0 -8  58.6  13.7
0 0 8  72.1  8.7

```
data_NaNd3Ti2Sb2O14
_chemical_formula_sum 'Na2 Nd6 Ti4 Sb4 O28'
_cell_length_a 7.432
_cell_length_b 7.383
_cell_length_c 12.806
_cell_angle_alpha 90.00
_cell_angle_beta 125.14
_cell_angle_gamma 90.00
_symmetry_space_group_name_H-M 'P 1'
_symmetry_Int_Tables_number 1
loop_
_symmetry_equiv_pos_as_xyz
'x,y,z'
loop_
_atom_site_label
_atom_site_type_symbol
_atom_site_fract_x
_atom_site_fract_y
_atom_site_fract_z
_atom_site_occupancy
Na1 Na 0.000 0.000 0.000 1
Na2 Na 0.000 0.000 0.500 1
Nd1 Nd 0.000 0.242 0.250 1
Nd2 Nd 0.000 0.500 0.000 1
Nd3 Nd 0.000 0.500 0.500 1
Nd4 Nd 0.000 0.758 0.750 1
Nd5 Nd 0.500 0.228 0.250 1
Nd6 Nd 0.500 0.772 0.750 1
Ti1 Ti 0.500 0.263 0.750 1
Ti2 Ti 0.500 0.500 0.000 1
Ti3 Ti 0.500 0.500 0.500 1
Ti4 Ti 0.500 0.737 0.250 1
Sb1 Sb 0.000 0.255 0.750 1
Sb2 Sb 0.000 0.745 0.250 1
Sb3 Sb 0.500 0.000 0.000 1
Sb4 Sb 0.500 0.000 0.500 1
O1 O 0.129 0.251 0.127 1
O2 O 0.129 0.749 0.627 1
O3 O 0.173 0.049 0.872 1
O4 O 0.173 0.951 0.372 1
O5 O 0.178 0.454 0.877 1
O6 O 0.178 0.546 0.377 1
O7 O 0.181 0.269 0.681 1
O8 O 0.181 0.731 0.181 1
O9 O 0.425 0.250 0.424 1
O10 O 0.425 0.750 0.924 1
O11 O 0.428 0.447 0.622 1
O12 O 0.428 0.553 0.122 1
O13 O 0.444 0.056 0.631 1
O14 O 0.444 0.944 0.131 1
O15 O 0.556 0.056 0.869 1
O16 O 0.556 0.944 0.369 1
O17 O 0.572 0.447 0.878 1
O18 O 0.572 0.553 0.378 1
O19 O 0.575 0.250 0.076 1
O20 O 0.575 0.750 0.576 1
O21 O 0.819 0.269 0.819 1
O22 O 0.819 0.731 0.319 1
O23 O 0.822 0.454 0.623 1
O24 O 0.822 0.546 0.123 1
O25 O 0.827 0.049 0.628 1
O26 O 0.827 0.951 0.128 1
O27 O 0.871 0.251 0.373 1
O28 O 0.871 0.749 0.873 1
```